Entry 1:
The following is a computed X-ray diffraction stick pattern of Eu2CuO4. It was derived from a crystal structure in the Materials Project, relaxed with GGA-PBE, using CuKα.
Intensities are scaled so that the largest is 100.

Structure:
abc: 3.918 3.918 12.192
angles: 90.00 90.00 90.00
Space group I4/mmm (No. 139)
Unique sites:
Eu: 0.000 0.000 0.148
Cu: 0.000 0.000 0.500
O: 0.000 0.500 0.000
O: 0.000 0.500 0.250

Principal peaks in the range 2θ = 10–90°, sorted by position:
d (Å)  two_theta  intensity  index
3.730  23.85  20  1 0 1
2.821  31.72  100  1 0 3
2.771  32.31  35  1 1 0
2.050  44.17  20  1 1 4
1.959  46.35  26  2 0 0
1.609  57.25  36  2 1 3

***

Entry 2:
The following is a computed X-ray diffraction stick pattern of U3Cu2Sb3. It was derived from a crystal structure in the Materials Project, relaxed with GGA-PBE, using CuKα.
Intensities are scaled so that the largest is 100.

Structure:
abc: 4.4044 4.4044 22.5559
angles: 90.00 90.00 120.00
Space group P6_3/mmc (No. 194)
Unique sites:
U: 0.3333 0.6667 0.0785
U: 0.3333 0.6667 0.2500
Cu: 0.0000 0.0000 0.1875
Sb: 0.0000 0.0000 0.0000
Sb: 0.3333 0.6667 0.6597

Principal peaks in the range 2θ = 10–90°, sorted by position:
d (Å)  two_theta  intensity  index
2.913  30.70  100  1 0 5
2.677  33.47  37  1 0 6
2.462  36.50  32  1 0 7
2.202  40.98  78  1 1 0
1.757  52.06  23  2 0 5
1.430  65.26  28  1 1 12

***

Entry 3:
The following is a computed X-ray diffraction stick pattern of Tm4US7. It was derived from a crystal structure in the Materials Project, relaxed with GGA-PBE, using CuKα.
Intensities are scaled so that the largest is 100.

Structure:
abc: 12.698 3.742 11.565
angles: 90.00 104.80 90.00
Space group Cm (No. 8)
Unique sites:
Tm: 0.000 0.000 0.000
Tm: 0.082 0.500 0.390
Tm: 0.200 0.500 0.810
Tm: 0.398 0.000 0.624
U: 0.315 0.500 0.237
S: 0.040 0.000 0.762
S: 0.159 0.500 0.025
S: 0.197 0.000 0.316
S: 0.240 0.500 0.597
S: 0.358 0.000 0.863
S: 0.446 0.000 0.161
S: 0.461 0.500 0.466

Principal peaks in the range 2θ = 10–90°, sorted by position:
d (Å)  two_theta  intensity  index
3.690  24.12  100  2 0 2
3.623  24.57  93  2 0 -3
3.338  26.71  46  1 1 1
3.174  28.11  50  4 0 -1
2.796  32.02  47  3 1 -1
2.665  33.63  59  3 1 -2